TmNb2Al2Ga2: calculated powder X-ray diffraction pattern (λ = 1.5418 Å (Cu Kα)), based on a crystal structure in OQMD, relaxed with GGA-PBE.

Most intense lines, 10° ≤ 2θ ≤ 80°, most intense first:
37.5 deg, intensity 100
33.6 deg, intensity 95
37.4 deg, intensity 87
43.2 deg, intensity 72
54.1 deg, intensity 64
37.7 deg, intensity 61
26.3 deg, intensity 49
20.7 deg, intensity 41
33.8 deg, intensity 34
80.0 deg, intensity 29

Structure:
```
7
Lattice="0.000 4.778 4.810 2.769 0.000 4.810 2.769 4.778 0.000" Properties=species:S:1:pos:R:3 pbc="T T T"
Tm 0.000 0.000 0.000
Nb 1.385 2.389 2.405
Nb 4.154 7.167 7.215
Al 2.769 2.917 4.810
Al 2.769 6.639 4.810
Ga 2.769 4.778 2.928
Ga 2.769 4.778 6.692
```

AcMgRe: calculated powder X-ray diffraction pattern (λ = 1.5418 Å (Cu Kα)), based on a crystal structure in OQMD, relaxed with GGA-PBE.

Most intense lines, 10° ≤ 2θ ≤ 80°, most intense first:
35.3 deg, intensity 100
21.4 deg, intensity 92
41.6 deg, intensity 51
63.3 deg, intensity 38
55.7 deg, intensity 22
50.8 deg, intensity 18
67.7 deg, intensity 17
78.7 deg, intensity 17
74.6 deg, intensity 12

Structure:
```
3
Lattice="0.000 3.597 3.597 3.597 0.000 3.597 3.597 3.597 0.000" Properties=species:S:1:pos:R:3 pbc="T T T"
Ac 0.000 0.000 0.000
Mg 5.395 5.395 5.395
Re 1.798 1.798 1.798
```

K3HfH2NO3: calculated powder X-ray diffraction pattern (λ = 1.5418 Å (Cu Kα)), based on a crystal structure in OQMD, relaxed with GGA-PBE.

Most intense lines, 10° ≤ 2θ ≤ 80°, most intense first:
27.9 deg, intensity 100
16.5 deg, intensity 78
31.1 deg, intensity 77
19.1 deg, intensity 66
17.0 deg, intensity 59
35.4 deg, intensity 51
29.9 deg, intensity 50
20.5 deg, intensity 43
19.7 deg, intensity 43
26.7 deg, intensity 38

Structure:
```
20
Lattice="6.531 0.000 0.000 -0.200 6.787 0.000 -1.562 -0.840 7.193" Properties=species:S:1:pos:R:3 pbc="T T T"
K 0.199 0.919 3.443
K -0.015 2.784 6.271
K 1.622 0.525 0.154
K 3.148 5.423 7.038
K 4.784 3.164 0.922
K 4.570 5.029 3.750
Hf 1.286 4.485 2.289
Hf 3.484 1.463 4.904
H 1.328 5.550 4.853
H 2.659 1.855 2.303
H 2.110 4.092 4.890
H 3.441 0.398 2.340
N 1.331 4.603 4.436
N 3.439 1.345 2.757
O -0.153 5.640 1.774
O 0.866 2.700 1.662
O 1.875 0.857 5.797
O 2.894 5.091 1.396
O 3.903 3.247 5.531
O 4.923 0.308 5.419
```

Er2Re3Ir: calculated powder X-ray diffraction pattern (λ = 1.5418 Å (Cu Kα)), based on a crystal structure in OQMD, relaxed with GGA-PBE.

Most intense lines, 10° ≤ 2θ ≤ 80°, most intense first:
39.6 deg, intensity 100
41.0 deg, intensity 85
35.4 deg, intensity 69
65.4 deg, intensity 35
72.1 deg, intensity 27
39.2 deg, intensity 26
62.0 deg, intensity 25
64.9 deg, intensity 24
44.5 deg, intensity 24
34.2 deg, intensity 23

Structure:
```
12
Lattice="5.239 0.000 0.000 -2.620 4.537 0.000 0.000 0.000 9.187" Properties=species:S:1:pos:R:3 pbc="T T T"
Er 0.000 3.025 0.576
Er 0.000 3.025 4.017
Er 2.620 1.512 5.169
Er 2.620 1.512 8.611
Re 0.000 1.545 6.890
Re -1.282 3.765 6.890
Re 1.338 0.772 2.297
Re 1.282 3.765 6.890
Re 3.901 0.772 2.297
Re 2.620 2.993 2.297
Ir 0.000 0.000 0.000
Ir 0.000 0.000 4.593
```

Ga2CoSe4: calculated powder X-ray diffraction pattern (λ = 1.5418 Å (Cu Kα)), based on a crystal structure in OQMD, relaxed with GGA-PBE.

Most intense lines, 10° ≤ 2θ ≤ 80°, most intense first:
48.6 deg, intensity 100
33.9 deg, intensity 52
27.9 deg, intensity 47
29.2 deg, intensity 33
44.5 deg, intensity 31
33.8 deg, intensity 26
14.5 deg, intensity 19
23.8 deg, intensity 19
44.4 deg, intensity 15
60.6 deg, intensity 14

Structure:
```
28
Lattice="7.479 0.000 0.000 0.000 7.479 0.000 0.000 0.000 10.611" Properties=species:S:1:pos:R:3 pbc="T T T"
Ga 0.000 1.925 0.000
Ga 0.000 5.554 5.305
Ga 1.911 1.911 3.979
Ga 1.911 5.568 1.326
Ga 1.925 0.000 7.958
Ga 5.554 0.000 2.653
Ga 5.568 1.911 6.632
Ga 5.568 5.568 9.284
Co 1.894 3.740 7.958
Co 3.740 1.894 0.000
Co 3.740 5.586 5.305
Co 5.586 3.740 2.653
Se 0.225 1.985 7.987
Se 0.225 5.494 7.929
Se 1.985 0.225 10.582
Se 1.985 7.254 5.334
Se 2.003 3.583 10.375
Se 2.003 3.896 5.541
Se 3.583 2.003 8.194
Se 3.583 5.476 7.723
Se 3.896 2.003 2.417
Se 3.896 5.476 2.888
Se 5.476 3.583 0.236
Se 5.476 3.896 5.070
Se 5.494 0.225 0.029
Se 5.494 7.254 5.276
Se 7.254 1.985 2.624
Se 7.254 5.494 2.682
```

LaSmB2Pt8: calculated powder X-ray diffraction pattern (λ = 1.5418 Å (Cu Kα)), based on a crystal structure in OQMD, relaxed with GGA-PBE.

Most intense lines, 10° ≤ 2θ ≤ 80°, most intense first:
40.3 deg, intensity 100
37.8 deg, intensity 92
44.7 deg, intensity 54
34.9 deg, intensity 42
34.6 deg, intensity 38
68.2 deg, intensity 36
29.8 deg, intensity 36
73.1 deg, intensity 31
18.6 deg, intensity 31
39.6 deg, intensity 29

Structure:
```
12
Lattice="5.503 0.000 0.000 -2.751 4.765 0.000 0.000 0.000 7.705" Properties=species:S:1:pos:R:3 pbc="T T T"
La 0.000 0.000 0.000
Sm 0.000 0.000 3.852
B 0.000 3.177 0.000
B 2.751 1.588 0.000
Pt -1.376 2.383 1.543
Pt -1.376 2.383 6.161
Pt 0.000 3.177 3.852
Pt 2.751 0.000 1.543
Pt 2.751 0.000 6.161
Pt 1.376 2.383 1.543
Pt 1.376 2.383 6.161
Pt 2.751 1.588 3.852
```

NdB3XeF14: calculated powder X-ray diffraction pattern (λ = 1.5418 Å (Cu Kα)), based on a crystal structure in OQMD, relaxed with GGA-PBE.

Most intense lines, 10° ≤ 2θ ≤ 80°, most intense first:
18.3 deg, intensity 100
25.4 deg, intensity 68
27.8 deg, intensity 54
17.8 deg, intensity 45
42.5 deg, intensity 39
14.9 deg, intensity 37
32.3 deg, intensity 34
40.1 deg, intensity 32
23.1 deg, intensity 30
28.9 deg, intensity 30

Structure:
```
38
Lattice="9.225 0.000 0.000 0.000 5.546 0.000 -2.648 0.000 9.961" Properties=species:S:1:pos:R:3 pbc="T T T"
Nd -0.351 1.387 2.664
Nd 6.927 4.160 7.297
B 1.283 4.160 0.908
B 0.331 4.160 4.908
B -0.057 1.387 7.941
B 6.633 4.160 2.019
B 6.246 1.387 5.053
B 5.293 1.387 9.052
Xe 3.718 1.387 1.684
Xe 2.858 4.160 8.276
F -1.063 4.160 5.239
F 0.494 3.014 1.231
F 0.494 5.305 1.231
F -0.603 0.243 7.233
F -0.603 2.530 7.233
F -1.188 4.160 9.472
F 0.553 3.017 4.100
F 0.553 5.303 4.100
F -0.568 1.387 9.217
F 1.158 4.160 5.973
F 2.004 1.387 2.934
F 2.428 4.160 1.642
F 1.303 1.387 7.839
F 1.267 4.160 9.495
F 5.310 1.387 0.465
F 5.273 4.160 2.121
F 4.148 1.387 8.318
F 4.572 4.160 7.026
F 5.418 1.387 3.987
F 7.144 4.160 0.744
F 6.023 0.244 5.861
F 6.023 2.529 5.861
F 7.764 1.387 0.489
F 7.179 3.016 2.727
F 7.179 5.303 2.727
F 6.082 0.241 8.730
F 6.082 2.532 8.730
F 7.639 1.387 4.721
```

YHoCu2Sn2: calculated powder X-ray diffraction pattern (λ = 1.5418 Å (Cu Kα)), based on a crystal structure in OQMD, relaxed with GGA-PBE.

Most intense lines, 10° ≤ 2θ ≤ 80°, most intense first:
33.7 deg, intensity 100
39.8 deg, intensity 73
53.1 deg, intensity 27
68.4 deg, intensity 26
25.8 deg, intensity 23
44.1 deg, intensity 19
66.2 deg, intensity 17
72.3 deg, intensity 13
75.3 deg, intensity 8
69.3 deg, intensity 8

Structure:
```
6
Lattice="4.530 0.000 0.000 -2.265 3.923 0.000 0.000 0.000 7.222" Properties=species:S:1:pos:R:3 pbc="T T T"
Y 0.000 0.000 0.000
Ho 0.000 0.000 3.610
Cu 0.000 2.615 5.878
Cu 2.265 1.308 2.301
Sn 0.000 2.615 1.668
Sn 2.265 1.308 5.259
```

AlNiMo4N2: calculated powder X-ray diffraction pattern (λ = 1.5418 Å (Cu Kα)), based on a crystal structure in OQMD, relaxed with GGA-PBE.

Most intense lines, 10° ≤ 2θ ≤ 80°, most intense first:
41.4 deg, intensity 100
37.3 deg, intensity 33
36.7 deg, intensity 20
66.1 deg, intensity 18
53.4 deg, intensity 16
78.5 deg, intensity 16
24.7 deg, intensity 14
58.5 deg, intensity 11
70.1 deg, intensity 11
44.7 deg, intensity 10

Structure:
```
8
Lattice="2.826 0.000 0.000 -1.413 2.447 0.000 0.000 0.000 14.443" Properties=species:S:1:pos:R:3 pbc="T T T"
Al 0.000 0.000 0.000
Ni 1.413 0.816 7.221
Mo 0.000 0.000 5.086
Mo 0.000 0.000 9.357
Mo 1.413 0.816 2.248
Mo 1.413 0.816 12.195
N 0.000 1.631 3.647
N 0.000 1.631 10.795
```

GdSi2AgAu: calculated powder X-ray diffraction pattern (λ = 1.5418 Å (Cu Kα)), based on a crystal structure in OQMD, relaxed with GGA-PBE.

Most intense lines, 10° ≤ 2θ ≤ 80°, most intense first:
34.6 deg, intensity 100
42.9 deg, intensity 33
22.7 deg, intensity 24
73.2 deg, intensity 23
33.3 deg, intensity 20
34.3 deg, intensity 19
56.0 deg, intensity 19
61.6 deg, intensity 16
17.0 deg, intensity 13
62.2 deg, intensity 11

Structure:
```
5
Lattice="-2.110 2.110 5.229 2.110 -2.110 5.229 2.110 2.110 -5.229" Properties=species:S:1:pos:R:3 pbc="T T T"
Gd 0.000 0.000 0.000
Si 0.000 0.000 4.081
Si 0.000 0.000 6.377
Ag 0.000 2.110 2.614
Au 2.110 0.000 2.614
```

NbCoBiIr: calculated powder X-ray diffraction pattern (λ = 1.5418 Å (Cu Kα)), based on a crystal structure in OQMD, relaxed with GGA-PBE.

Most intense lines, 10° ≤ 2θ ≤ 80°, most intense first:
39.4 deg, intensity 100
71.4 deg, intensity 35
27.6 deg, intensity 23
56.9 deg, intensity 17
64.4 deg, intensity 10
48.8 deg, intensity 7
23.8 deg, intensity 1
46.6 deg, intensity 1

Structure:
```
4
Lattice="0.000 3.234 3.234 3.234 0.000 3.234 3.234 3.234 0.000" Properties=species:S:1:pos:R:3 pbc="T T T"
Nb 0.000 0.000 0.000
Co 3.234 3.234 3.234
Bi 1.617 1.617 1.617
Ir 4.851 4.851 4.851
```

K6Cd2O5: calculated powder X-ray diffraction pattern (λ = 1.5418 Å (Cu Kα)), based on a crystal structure in OQMD, relaxed with GGA-PBE.

Most intense lines, 10° ≤ 2θ ≤ 80°, most intense first:
32.0 deg, intensity 100
28.8 deg, intensity 82
17.1 deg, intensity 82
18.5 deg, intensity 80
29.9 deg, intensity 74
34.2 deg, intensity 69
36.4 deg, intensity 54
28.0 deg, intensity 46
31.3 deg, intensity 36
50.4 deg, intensity 35

Structure:
```
26
Lattice="6.124 0.000 0.000 -0.065 7.695 0.000 -1.667 -3.767 12.410" Properties=species:S:1:pos:R:3 pbc="T T T"
K -0.395 1.662 4.698
K -0.327 5.468 4.546
K 0.920 -0.156 1.504
K 0.901 4.048 1.583
K 0.425 -1.724 10.904
K 1.721 0.226 7.724
K 2.671 3.702 4.686
K 3.967 5.652 1.506
K 3.491 -0.120 10.827
K 3.472 4.085 10.906
K 4.720 -1.539 7.864
K 4.788 2.266 7.713
Cd -0.244 1.969 10.663
Cd 1.308 4.342 8.041
Cd 3.084 -0.414 4.369
Cd 4.636 1.959 1.747
O -1.659 1.950 12.261
O -0.318 0.295 9.354
O -0.253 3.850 9.605
O 0.531 3.530 6.294
O 1.868 5.888 3.354
O 2.524 -1.959 9.056
O 3.862 0.398 6.116
O 4.646 0.078 2.805
O 4.711 3.633 3.057
O 6.052 1.978 0.149
```

Please write out number 9 again, unchanged.
AlNiMo4N2: calculated powder X-ray diffraction pattern (λ = 1.5418 Å (Cu Kα)), based on a crystal structure in OQMD, relaxed with GGA-PBE.

Most intense lines, 10° ≤ 2θ ≤ 80°, most intense first:
41.4 deg, intensity 100
37.3 deg, intensity 33
36.7 deg, intensity 20
66.1 deg, intensity 18
53.4 deg, intensity 16
78.5 deg, intensity 16
24.7 deg, intensity 14
58.5 deg, intensity 11
70.1 deg, intensity 11
44.7 deg, intensity 10

Structure:
```
8
Lattice="2.826 0.000 0.000 -1.413 2.447 0.000 0.000 0.000 14.443" Properties=species:S:1:pos:R:3 pbc="T T T"
Al 0.000 0.000 0.000
Ni 1.413 0.816 7.221
Mo 0.000 0.000 5.086
Mo 0.000 0.000 9.357
Mo 1.413 0.816 2.248
Mo 1.413 0.816 12.195
N 0.000 1.631 3.647
N 0.000 1.631 10.795
```